# 1
Diffraction record for Ca5CuPb3. The X-ray powder pattern is simulated, not measured: it uses a DFT-relaxed cell (PBE, the Materials Project) and Cu Ka.
Intensities are scaled so that the largest is 100.

Crystal structure
```
18
Lattice="9.626 0.000 0.000 -4.813 8.336 0.000 0.000 0.000 6.775" Properties=species:S:1:pos:R:3 pbc="T T T"
Ca -1.225 2.122 1.694
Ca -3.588 6.214 5.081
Ca 2.450 0.000 1.694
Ca 1.225 2.122 5.081
Ca 0.000 5.557 0.000
Ca 0.000 5.557 3.387
Ca 4.813 2.779 0.000
Ca 4.813 2.779 3.387
Ca 7.175 0.000 5.081
Ca 3.588 6.214 1.694
Cu 0.000 0.000 0.000
Cu 0.000 0.000 3.387
Pb -1.942 3.364 5.081
Pb -2.871 4.972 1.694
Pb 3.885 0.000 5.081
Pb 1.942 3.364 1.694
Pb 5.741 0.000 1.694
Pb 2.871 4.972 5.081
```

The 10 most intense peaks (10 to 90 degrees two-theta), by angle:
21.3 deg, I 54; 22.7 deg, I 96; 26.3 deg, I 35; 31.3 deg, I 100; 32.2 deg, I 48; 32.3 deg, I 78; 41.3 deg, I 78; 47.6 deg, I 29; 55.1 deg, I 29; 57.0 deg, I 31

***

# 2
Diffraction record for Ca2CuRh. The X-ray powder pattern is simulated, not measured: it uses a DFT-relaxed cell (PBE, the Materials Project) and Cu Ka.
Intensities are scaled so that the largest is 100.

Crystal structure
```
16
Lattice="6.997 0.000 0.000 0.000 6.997 0.000 0.000 0.000 6.997" Properties=species:S:1:pos:R:3 pbc="T T T"
Ca 1.749 1.749 1.749
Ca 1.749 1.749 5.248
Ca 1.749 5.248 1.749
Ca 1.749 5.248 5.248
Ca 5.248 1.749 1.749
Ca 5.248 1.749 5.248
Ca 5.248 5.248 1.749
Ca 5.248 5.248 5.248
Cu 0.000 0.000 0.000
Cu 0.000 3.499 3.499
Cu 3.499 0.000 3.499
Cu 3.499 3.499 0.000
Rh 0.000 0.000 3.499
Rh 0.000 3.499 0.000
Rh 3.499 0.000 0.000
Rh 3.499 3.499 3.499
```

The 10 most intense peaks (10 to 90 degrees two-theta), by angle:
22.0 deg, I 5; 25.5 deg, I 15; 36.3 deg, I 100; 44.9 deg, I 5; 52.3 deg, I 17; 59.0 deg, I 6; 65.3 deg, I 32; 77.1 deg, I 10; 82.8 deg, I 3; 88.3 deg, I 14